Computed powder diffraction line list of NaMn7O12 for Cu Kα, 1.54184 Å, from a DFT-relaxed cell (PBE+U, the Materials Project).

Largest 8 diffraction maxima, most intense first, 2θ from 10° to 80°:
34.1°, intensity 100; 61.0°, intensity 51; 48.9°, intensity 29; 71.7°, intensity 13; 16.8°, intensity 9; 38.2°, intensity 9; 45.6°, intensity 4; 29.4°, intensity 4

Crystal structure
abc: 6.4486 6.4486 6.4486
angles: 109.47 109.47 109.47
Element x y z (fractional)
Na  0.0000  0.0000  0.0000
Mn  0.0000  0.0000  0.5000
Mn  0.0000  0.5000  0.0000
Mn  0.0000  0.5000  0.5000
Mn  0.5000  0.0000  0.0000
Mn  0.5000  0.0000  0.5000
Mn  0.5000  0.5000  0.0000
Mn  0.5000  0.5000  0.5000
O  0.1291  0.3143  0.8148
O  0.1852  0.4995  0.3143
O  0.1852  0.8709  0.6857
O  0.3143  0.1852  0.4995
O  0.3143  0.8148  0.1291
O  0.4995  0.3143  0.1852
O  0.5005  0.6857  0.8148
O  0.6857  0.1852  0.8709
O  0.6857  0.8148  0.5005
O  0.8148  0.1291  0.3143
O  0.8148  0.5005  0.6857
O  0.8709  0.6857  0.1852

=====

Computed powder diffraction line list of Li6VSi2O8 for Cu Kα, 1.54184 Å, from a DFT-relaxed cell (PBE+U, the Materials Project).

Largest 8 diffraction maxima, most intense first, 2θ from 10° to 80°:
33.1°, intensity 100; 21.5°, intensity 79; 35.0°, intensity 68; 22.2°, intensity 54; 24.2°, intensity 41; 58.2°, intensity 35; 29.9°, intensity 30; 32.4°, intensity 30

Crystal structure
abc: 5.1288 11.0541 7.9450
angles: 90.00 128.53 90.00
Element x y z (fractional)
Li  0.0000  0.0562  0.0000
Li  0.0000  0.9438  0.5000
Li  0.5470  0.0929  0.2154
Li  0.5470  0.9071  0.7154
Li  0.5662  0.1764  0.9353
Li  0.5662  0.8236  0.4353
Li  0.7244  0.3134  0.4459
Li  0.7244  0.6866  0.9459
Li  0.8682  0.4034  0.2016
Li  0.8682  0.5966  0.7016
Li  0.9836  0.0974  0.6875
Li  0.9836  0.9026  0.1875
V  0.3682  0.4226  0.6927
V  0.3682  0.5774  0.1927
Si  0.0961  0.3264  0.9461
Si  0.0961  0.6736  0.4461
Si  0.2514  0.1532  0.4446
Si  0.2514  0.8468  0.9446
O  0.1291  0.2911  0.4511
O  0.1291  0.7089  0.9511
O  0.2020  0.1855  0.9480
O  0.2020  0.8145  0.4480
O  0.3450  0.0753  0.6563
O  0.3450  0.9247  0.1563
O  0.4186  0.3961  0.1629
O  0.4186  0.6039  0.6629
O  0.5717  0.1575  0.4462
O  0.5717  0.8425  0.9462
O  0.7751  0.3250  0.9480
O  0.7751  0.6750  0.4480
O  0.9318  0.0818  0.2232
O  0.9318  0.9182  0.7232
O  0.9833  0.4069  0.7316
O  0.9833  0.5931  0.2316

=====

Computed powder diffraction line list of Li2V3WO8 for Cu Kα, 1.54184 Å, from a DFT-relaxed cell (PBE+U, the Materials Project).

Largest 8 diffraction maxima, most intense first, 2θ from 10° to 80°:
17.8°, intensity 100; 23.0°, intensity 21; 14.6°, intensity 18; 41.6°, intensity 18; 34.3°, intensity 17; 41.8°, intensity 17; 34.5°, intensity 17; 34.8°, intensity 17

Crystal structure
abc: 8.5125 8.6367 8.6811
angles: 90.06 90.11 90.17
Element x y z (fractional)
Li  0.0000  0.0000  0.0000
Li  0.9997  0.4950  0.4948
Li  0.2469  0.7461  0.2431
Li  0.2501  0.2473  0.7480
Li  0.4963  0.4990  0.9988
Li  0.4967  0.9939  0.4954
Li  0.7489  0.2461  0.2465
Li  0.7487  0.7448  0.7417
V  0.1183  0.6222  0.8646
V  0.1238  0.8651  0.6137
V  0.1288  0.1190  0.3730
V  0.3658  0.6155  0.6204
V  0.3715  0.3672  0.3774
V  0.3761  0.1229  0.1287
V  0.6198  0.3754  0.6256
V  0.6256  0.1273  0.8792
V  0.6261  0.8762  0.1210
V  0.8719  0.3792  0.8737
V  0.8737  0.6292  0.1157
V  0.8808  0.8697  0.3648
W  0.1212  0.3710  0.1204
W  0.3731  0.8723  0.8707
W  0.6219  0.6215  0.3694
W  0.8751  0.1208  0.6225
O  0.0963  0.3807  0.8711
O  0.1050  0.1090  0.6200
O  0.1150  0.8832  0.3840
O  0.1166  0.6090  0.0988
O  0.1293  0.6347  0.6324
O  0.1309  0.3519  0.3632
O  0.1352  0.1341  0.1332
O  0.1423  0.8679  0.8578
O  0.3600  0.6361  0.8604
O  0.3617  0.3648  0.1411
O  0.3656  0.1327  0.3613
O  0.3668  0.8542  0.6345
O  0.3831  0.1101  0.8885
O  0.3835  0.6071  0.3806
O  0.3861  0.3810  0.6122
O  0.3858  0.8816  0.1052
O  0.6052  0.8853  0.8756
O  0.6081  0.6136  0.6056
O  0.6154  0.1095  0.1088
O  0.6213  0.3930  0.3860
O  0.6292  0.6384  0.1354
O  0.6342  0.8504  0.3641
O  0.6435  0.1296  0.6355
O  0.6449  0.3630  0.8597
O  0.8619  0.3587  0.6377
O  0.8619  0.6277  0.3514
O  0.8624  0.8616  0.1317
O  0.8673  0.1412  0.8599
O  0.8778  0.3869  0.1035
O  0.8801  0.6085  0.8817
O  0.8796  0.8854  0.6035
O  0.8845  0.1110  0.3885